Diffraction record for PaBr3. The powder diffraction line list is calculated, not measured: it uses DFT lattice parameters and positions (GGA-PBE) and Cu Kα (weighted mean of Kα1 and Kα2).
Peak positions follow from Bragg's law for the DFT cell and can differ from measured ones.

Structure:
```
data_PaBr3
_cell_length_a 3.7360
_cell_length_b 11.5654
_cell_length_c 7.2793
_cell_angle_alpha 90.00
_cell_angle_beta 90.00
_cell_angle_gamma 90.00
_space_group_name_H-M_alt 'I m m 2'
_space_group_IT_number 44
loop_
_space_group_symop_operation_xyz
'x,y,z'
'-x,-y,z'
'-x,y,z'
'x,-y,z'
'x+1/2,y+1/2,z+1/2'
'-x+1/2,-y+1/2,z+1/2'
'-x+1/2,y+1/2,z+1/2'
'x+1/2,-y+1/2,z+1/2'
loop_
_atom_site_label
_atom_site_type_symbol
_atom_site_fract_x
_atom_site_fract_y
_atom_site_fract_z
Pa1 Pa 0.0000 0.0000 0.0000
Br1 Br 0.0000 0.3336 0.6563
Br2 Br 0.0000 0.5000 0.1940
```

Largest 12 diffraction maxima, low angle first, 10° ≤ 2θ ≤ 90°:
14.38°, I = 1000, hkl 0 1 1
15.32°, I = 374, hkl 0 2 0
24.46°, I = 133, hkl 0 0 2
26.16°, I = 246, hkl 0 3 1
28.99°, I = 125, hkl 0 2 2
31.03°, I = 613, hkl 1 2 1
33.40°, I = 216, hkl 1 3 0
35.29°, I = 469, hkl 1 1 2
41.39°, I = 283, hkl 1 4 1
41.83°, I = 150, hkl 1 3 2
44.10°, I = 222, hkl 0 3 3
52.92°, I = 147, hkl 1 5 2